Calculated X-ray diffraction stick pattern of Zn2Ni21B20 for Cu Kα (λ = 1.5418 Å), from DFT lattice parameters and positions (PBE).

Peak list (10 most intense, 2θ = 15–90°, low angle first)
2θ (°)	Rel. int.
33.6	23
37.5	100
39.6	17
41.9	23
42.3	99
43.7	21
50.7	64
54.1	16
56.2	15
79.1	25

Cell and atoms:
Cell: 7.196 7.196 14.275 Å, 90.00 90.00 90.00°
Space group I4/mmm (No. 139)
Symmetry-distinct sites (fractional):
Zn (0.000, 0.000, 0.190) (multiplicity 4)
Ni (0.000, 0.000, 0.000) (multiplicity 2)
Ni (0.000, 0.000, 0.362) (multiplicity 4)
Ni (0.000, 0.260, 0.500) (multiplicity 8)
Ni (0.000, 0.300, 0.101) (multiplicity 16)
Ni (0.000, 0.500, 0.250) (multiplicity 4)
Ni (0.250, 0.250, 0.250) (multiplicity 8)
B (0.000, 0.300, 0.346) (multiplicity 16)
B (0.202, 0.202, 0.000) (multiplicity 8)
B (0.207, 0.207, 0.394) (multiplicity 16)


Calculated X-ray diffraction stick pattern of Pm10Y6Tm for Cu Kα (λ = 1.5418 Å), from DFT lattice parameters and positions (PBE).

Peak list (10 most intense, 2θ = 15–90°, low angle first)
2θ (°)	Rel. int.
22.2	10
24.6	10
30.7	43
31.5	76
31.7	100
45.3	27
48.5	15
56.2	24
56.5	17
62.2	12

Cell and atoms:
Cell: 9.8265 9.8265 6.9050 Å, 90.00 90.00 120.00°
Space group P-31m (No. 162)
Symmetry-distinct sites (fractional):
Pm (0.0000, 0.2736, 0.1839) (multiplicity 6)
Pm (0.3333, 0.6667, 0.0000) (multiplicity 2)
Pm (0.3333, 0.6667, 0.5000) (multiplicity 2)
Y (0.0000, 0.3702, 0.6912) (multiplicity 6)
Tm (0.0000, 0.0000, 0.5000) (multiplicity 1)


Calculated X-ray diffraction stick pattern of Pu3HgRu2 for Cu Kα (λ = 1.5418 Å), from DFT lattice parameters and positions (PBE).

Peak list (10 most intense, 2θ = 15–90°, low angle first)
2θ (°)	Rel. int.
27.3	8
31.2	12
35.4	100
39.1	48
40.7	10
49.8	8
56.4	17
60.7	9
61.1	10
68.4	30

Cell and atoms:
Cell: 3.262 3.262 12.073 Å, 90.00 90.00 90.00°
Space group P4/mmm (No. 123)
Symmetry-distinct sites (fractional):
Pu (0.000, 0.000, 0.000) (multiplicity 1)
Pu (0.000, 0.000, 0.298) (multiplicity 2)
Hg (0.500, 0.500, 0.500) (multiplicity 1)
Ru (0.500, 0.500, 0.147) (multiplicity 2)